Entry 1:
Simulated PXRD pattern
Compound: BaUAg2O6
Radiation: a wavelength of 1.5418 Å
Structure: a cell relaxed with PBE
No peak broadening, texture or thermal motion is included.

Peak list (10 most intense, 2θ from 5° to 70°, by angle)
Position (°2θ), I_rel
15.33, 31.5
25.16, 66.3
26.09, 74.7
26.27, 100.0
30.41, 58.0
30.95, 43.4
32.80, 36.3
34.50, 37.9
42.53, 21.0
57.08, 24.4

Atomic structure:
```
data_BaUAg2O6
_cell_length_a 7.508
_cell_length_b 7.508
_cell_length_c 7.125
_cell_angle_alpha 103.22
_cell_angle_beta 103.22
_cell_angle_gamma 73.14
_symmetry_space_group_name_H-M 'P 1'
_symmetry_Int_Tables_number 1
_symmetry_space_group_name_Hall 'P 1'
loop_
_atom_site_label
_atom_site_type_symbol
_atom_site_fract_x
_atom_site_fract_y
_atom_site_fract_z
Ba1 Ba 0.132 0.868 0.750
Ba2 Ba 0.868 0.132 0.250
U1 U 0.294 0.706 0.250
U2 U 0.706 0.294 0.750
Ag1 Ag 0.179 0.372 0.710
Ag2 Ag 0.372 0.179 0.210
Ag3 Ag 0.628 0.821 0.790
Ag4 Ag 0.821 0.628 0.290
O1 O 0.034 0.774 0.357
O2 O 0.165 0.617 0.998
O3 O 0.226 0.966 0.143
O4 O 0.383 0.835 0.502
O5 O 0.397 0.497 0.666
O6 O 0.497 0.397 0.166
O7 O 0.503 0.603 0.834
O8 O 0.603 0.503 0.334
O9 O 0.617 0.165 0.498
O10 O 0.774 0.034 0.857
O11 O 0.835 0.383 0.002
O12 O 0.966 0.226 0.643
```


Entry 2:
Simulated PXRD pattern
Compound: CdGe2O5
Radiation: a wavelength of 1.5418 Å
Structure: a cell relaxed with PBE
No peak broadening, texture or thermal motion is included.

Peak list (10 most intense, 2θ from 5° to 70°, by angle)
Position (°2θ), I_rel
27.17, 41.1
27.74, 73.1
29.42, 100.0
31.18, 19.5
33.60, 59.6
34.06, 51.8
34.17, 39.0
34.80, 26.7
52.39, 20.8
53.42, 27.2

Atomic structure:
```
data_CdGe2O5
_cell_length_a 5.460
_cell_length_b 5.601
_cell_length_c 7.051
_cell_angle_alpha 105.33
_cell_angle_beta 103.09
_cell_angle_gamma 106.07
_symmetry_space_group_name_H-M 'P 1'
_symmetry_Int_Tables_number 1
_symmetry_space_group_name_Hall 'P 1'
loop_
_atom_site_label
_atom_site_type_symbol
_atom_site_fract_x
_atom_site_fract_y
_atom_site_fract_z
Cd1 Cd 0.167 0.315 0.262
Cd2 Cd 0.833 0.685 0.738
Ge1 Ge 0.184 0.319 0.749
Ge2 Ge 0.500 0.000 0.000
Ge3 Ge 0.500 0.000 0.500
Ge4 Ge 0.816 0.681 0.251
O1 O 0.130 0.773 0.443
O2 O 0.208 0.126 0.910
O3 O 0.225 0.646 0.900
O4 O 0.416 0.057 0.248
O5 O 0.424 0.320 0.615
O6 O 0.576 0.680 0.385
O7 O 0.584 0.943 0.752
O8 O 0.775 0.354 0.100
O9 O 0.792 0.874 0.090
O10 O 0.870 0.227 0.557
```


Entry 3:
Simulated PXRD pattern
Compound: Tb2UCuSe5
Radiation: a wavelength of 1.5418 Å
Structure: a cell relaxed with PBE
No peak broadening, texture or thermal motion is included.

Peak list (10 most intense, 2θ from 5° to 70°, by angle)
Position (°2θ), I_rel
24.41, 23.6
30.96, 45.8
32.19, 100.0
37.04, 76.1
42.82, 24.5
45.72, 32.8
48.79, 13.6
52.48, 13.2
56.25, 16.7
66.47, 14.1

Atomic structure:
```
data_Tb2UCuSe5
_cell_length_a 9.145
_cell_length_b 9.145
_cell_length_c 11.983
_cell_angle_alpha 90.00
_cell_angle_beta 90.00
_cell_angle_gamma 154.94
_symmetry_space_group_name_H-M 'P 1'
_symmetry_Int_Tables_number 1
_symmetry_space_group_name_Hall 'P 1'
loop_
_atom_site_label
_atom_site_type_symbol
_atom_site_fract_x
_atom_site_fract_y
_atom_site_fract_z
Tb1 Tb 0.104 0.896 0.500
Tb2 Tb 0.120 0.880 0.124
Tb3 Tb 0.880 0.120 0.624
Tb4 Tb 0.896 0.104 0.000
U1 U 0.196 0.804 0.826
U2 U 0.804 0.196 0.326
Cu1 Cu 0.437 0.563 0.267
Cu2 Cu 0.563 0.437 0.767
Se1 Se 0.044 0.956 0.877
Se2 Se 0.292 0.708 0.498
Se3 Se 0.320 0.680 0.155
Se4 Se 0.360 0.640 0.818
Se5 Se 0.496 0.504 0.593
Se6 Se 0.504 0.496 0.093
Se7 Se 0.640 0.360 0.318
Se8 Se 0.680 0.320 0.655
Se9 Se 0.708 0.292 0.998
Se10 Se 0.956 0.044 0.377
```


Entry 4:
Simulated PXRD pattern
Compound: Ni6H
Radiation: a wavelength of 1.5418 Å
Structure: a cell relaxed with PBE
No peak broadening, texture or thermal motion is included.

Peak list (6 most intense, 2θ from 5° to 70°, by angle)
Position (°2θ), I_rel
41.56, 8.2
43.05, 44.1
43.97, 36.9
47.30, 100.0
53.80, 22.2
62.10, 4.6

Atomic structure:
```
data_Ni6H
_cell_length_a 8.237
_cell_length_b 7.520
_cell_length_c 4.351
_cell_angle_alpha 90.00
_cell_angle_beta 90.00
_cell_angle_gamma 90.00
_symmetry_space_group_name_H-M 'P 1'
_symmetry_Int_Tables_number 1
_symmetry_space_group_name_Hall 'P 1'
loop_
_atom_site_label
_atom_site_type_symbol
_atom_site_fract_x
_atom_site_fract_y
_atom_site_fract_z
Ni1 Ni 0.002 0.081 0.247
Ni2 Ni 0.002 0.250 0.753
Ni3 Ni 0.002 0.419 0.247
Ni4 Ni 0.249 0.081 0.915
Ni5 Ni 0.249 0.250 0.422
Ni6 Ni 0.249 0.419 0.915
Ni7 Ni 0.251 0.581 0.415
Ni8 Ni 0.251 0.750 0.922
Ni9 Ni 0.251 0.919 0.415
Ni10 Ni 0.498 0.581 0.747
Ni11 Ni 0.498 0.750 0.253
Ni12 Ni 0.498 0.919 0.747
Ni13 Ni 0.502 0.081 0.253
Ni14 Ni 0.502 0.250 0.747
Ni15 Ni 0.502 0.419 0.253
Ni16 Ni 0.749 0.081 0.585
Ni17 Ni 0.749 0.250 0.078
Ni18 Ni 0.749 0.419 0.585
Ni19 Ni 0.751 0.581 0.085
Ni20 Ni 0.751 0.750 0.578
Ni21 Ni 0.751 0.919 0.085
Ni22 Ni 0.998 0.581 0.753
Ni23 Ni 0.998 0.750 0.247
Ni24 Ni 0.998 0.919 0.753
H1 H 0.125 0.750 0.583
H2 H 0.375 0.250 0.083
H3 H 0.625 0.750 0.917
H4 H 0.875 0.250 0.417
```